Structure and theoretical X-ray powder pattern of Dy2Pt2O7 (the PBE geometry in the Materials Project; CuKα).
No peak broadening, texture or thermal motion is included.

Principal peaks in the range 2θ from 5° to 70°, low angle first:
h k l  d (Å)  I/Imax
1 1 1  5.938  1
3 1 1  3.101  2
2 2 2  2.969  100
4 0 0  2.571  37
4 4 0  1.818  46
6 2 2  1.550  44
4 4 4  1.484  11

Crystal structure
a = 10.2848 Å, b = 10.2848 Å, c = 10.2848 Å
α = 90.00°, β = 90.00°, γ = 90.00°
Space group Fd-3m (No. 227, origin choice 2)
Symmetry-distinct sites (fractional):
Dy (0.0000, 0.0000, 0.0000)
Pt (0.0000, 0.0000, 0.5000)
O (0.0914, 0.3750, 0.8750)
O (0.1250, 0.1250, 0.1250)

Structure and theoretical X-ray powder pattern of Li2B6O9F2 (the PBE geometry in the Materials Project; CuKα).
No peak broadening, texture or thermal motion is included.

Principal peaks in the range 2θ from 5° to 70°, low angle first:
h k l  d (Å)  I/Imax
0 2 2  4.312  38
1 1 1  4.194  30
1 3 0  3.637  73
1 3 -1  3.455  100
1 1 2  3.387  32
1 3 -2  2.997  44
1 5 -1  2.638  24
1 7 1  2.056  20
2 4 1  2.040  13
0 4 5  1.819  13

Crystal structure
```
data_Li2B6O9F2
_chemical_formula_sum 'Li8 B24 O36 F8'
_cell_length_a 4.8890
_cell_length_b 16.3392
_cell_length_c 10.1653
_cell_angle_alpha 90.00
_cell_angle_beta 92.15
_cell_angle_gamma 90.00
_space_group_name_H-M_alt 'C 1 c 1'
_space_group_IT_number 9
_space_group_name_Hall 'C -2yc'
loop_
_atom_site_label
_atom_site_type_symbol
_atom_site_fract_x
_atom_site_fract_y
_atom_site_fract_z
_atom_site_occupancy
Li1 Li 0.0000 0.0366 0.0000 1
Li2 Li 0.4219 0.2426 0.3302 1
B1 B 0.0183 0.3531 0.1569 1
B2 B 0.1523 0.3372 0.6225 1
B3 B 0.2544 0.0340 0.7346 1
B4 B 0.2723 0.2439 0.0377 1
B5 B 0.4594 0.1330 0.8950 1
B6 B 0.4982 0.4062 0.7913 1
O1 O 0.0810 0.3046 0.0506 1
O2 O 0.1032 0.0338 0.1977 1
O3 O 0.1141 0.3360 0.2826 1
O4 O 0.1554 0.3817 0.5082 1
O5 O 0.2509 0.1963 0.9284 1
O6 O 0.3043 0.0576 0.8627 1
O7 O 0.3083 0.3495 0.7318 1
O8 O 0.3492 0.0808 0.6316 1
O9 O 0.4744 0.2303 0.1336 1
F1 F 0.2204 0.1403 0.3488 1
F2 F 0.3693 0.4478 0.8971 1
```